Entry 1:
This entry pairs a crystal structure of Sm2Dy13 with its theoretical powder diffraction line list. Radiation: λ = 1.5418 Å (Cu Kα). Structure: DFT lattice parameters and positions (PBE).

Largest 10 diffraction maxima, by intensity, 2θ from 15° to 90°:
Position (°2θ), I/Imax
32.0, 100
57.0, 17
30.3, 16
62.4, 12
44.7, 11
47.1, 8
66.9, 7
58.1, 7
37.5, 6
62.3, 6

Structural model:
```
Sm2Dy13
1.0
6.614 0.000 0.000
1.420 8.605 0.000
0.977 3.089 8.379
Sm Dy
2 13
Direct
0.199 0.304 0.398
0.801 0.696 0.602
0.000 0.500 0.000
0.096 0.924 0.693
0.134 0.697 0.266
0.238 0.076 0.975
0.334 0.499 0.668
0.430 0.922 0.359
0.467 0.697 0.935
0.533 0.303 0.065
0.570 0.078 0.641
0.666 0.501 0.332
0.762 0.924 0.025
0.866 0.303 0.734
0.904 0.076 0.307
```

=====

Entry 2:
This entry pairs a crystal structure of Sm3Dy13 with its theoretical powder diffraction line list. Radiation: λ = 1.5418 Å (Cu Kα). Structure: DFT lattice parameters and positions (PBE).

Largest 10 diffraction maxima, by intensity, 2θ from 15° to 90°:
Position (°2θ), I/Imax
30.8, 100
51.4, 36
35.7, 34
61.1, 29
35.8, 17
61.2, 14
64.1, 12
83.8, 12
83.9, 6
86.4, 6

Structural model:
```
Sm3Dy13
1.0
10.046 0.000 0.000
0.000 5.030 5.037
0.000 -5.030 5.037
Sm Dy
3 13
Direct
0.000 0.000 0.000
0.251 0.251 0.251
0.749 0.251 0.251
0.000 0.000 0.502
0.000 0.502 0.000
0.000 0.502 0.502
0.251 0.251 0.750
0.251 0.750 0.251
0.251 0.750 0.750
0.500 0.000 0.000
0.500 0.000 0.502
0.500 0.502 0.000
0.500 0.502 0.502
0.749 0.251 0.750
0.749 0.750 0.251
0.749 0.750 0.750
```

=====

Entry 3:
This entry pairs a crystal structure of Sm7Dy2 with its theoretical powder diffraction line list. Radiation: λ = 1.5418 Å (Cu Kα). Structure: DFT lattice parameters and positions (PBE).

Largest 10 diffraction maxima, by intensity, 2θ from 15° to 90°:
Position (°2θ), I/Imax
30.3, 100
35.2, 51
60.2, 43
50.6, 36
82.4, 13
63.1, 9
85.0, 8
85.1, 8
74.4, 6
82.5, 4

Structural model:
```
Sm7Dy2
1.0
6.252 0.000 0.000
-3.126 5.414 0.000
0.000 0.000 8.825
Sm Dy
7 2
Direct
0.000 0.000 0.000
0.000 0.334 0.668
0.000 0.666 0.332
0.334 0.000 0.668
0.334 0.334 0.332
0.666 0.000 0.332
0.666 0.666 0.668
0.333 0.667 0.000
0.667 0.333 0.000
```

=====

Entry 4:
This entry pairs a crystal structure of SmDy6 with its theoretical powder diffraction line list. Radiation: λ = 1.5418 Å (Cu Kα). Structure: DFT lattice parameters and positions (PBE).

Largest 10 diffraction maxima, by intensity, 2θ from 15° to 90°:
Position (°2θ), I/Imax
28.6, 100
34.9, 82
31.2, 79
31.8, 62
55.8, 54
66.1, 46
32.6, 32
39.2, 28
37.0, 27
61.1, 26

Structural model:
```
SmDy6
1.0
6.504 0.000 0.000
0.000 6.504 0.000
0.000 0.000 10.989
Sm Dy
2 12
Direct
0.250 0.750 0.000
0.750 0.250 0.000
0.082 0.582 0.363
0.082 0.918 0.637
0.250 0.250 0.140
0.250 0.250 0.860
0.418 0.582 0.637
0.418 0.918 0.363
0.582 0.082 0.637
0.582 0.418 0.363
0.750 0.750 0.140
0.750 0.750 0.860
0.918 0.082 0.363
0.918 0.418 0.637
```

=====

Entry 5:
This entry pairs a crystal structure of Sm2Dy7 with its theoretical powder diffraction line list. Radiation: λ = 1.5418 Å (Cu Kα). Structure: DFT lattice parameters and positions (PBE).

Largest 10 diffraction maxima, by intensity, 2θ from 15° to 90°:
Position (°2θ), I/Imax
32.0, 100
31.2, 80
61.9, 30
45.3, 24
33.1, 24
56.6, 22
38.0, 18
54.2, 18
57.0, 16
80.4, 12

Structural model:
```
Sm2Dy7
1.0
9.689 0.000 0.000
-4.844 8.391 0.000
0.000 0.000 3.550
Sm Dy
2 7
Direct
0.333 0.667 0.000
0.667 0.333 0.000
0.000 0.000 0.500
0.000 0.356 0.500
0.000 0.696 0.000
0.304 0.304 0.000
0.356 0.000 0.500
0.644 0.644 0.500
0.696 0.000 0.000
```

=====

Entry 6:
This entry pairs a crystal structure of Sm3DySn with its theoretical powder diffraction line list. Radiation: λ = 1.5418 Å (Cu Kα). Structure: DFT lattice parameters and positions (PBE).

Largest 10 diffraction maxima, by intensity, 2θ from 15° to 90°:
Position (°2θ), I/Imax
33.5, 100
31.5, 70
36.8, 68
30.2, 64
46.7, 63
40.0, 54
26.4, 45
29.0, 39
32.9, 38
66.5, 38

Structural model:
```
Sm3DySn
1.0
-5.684 4.206 3.459
5.684 -4.206 3.459
5.684 4.206 -3.459
Sm Dy Sn
6 2 2
Direct
0.156 0.978 0.677
0.241 0.028 0.269
0.241 0.472 0.713
0.301 0.478 0.323
0.759 0.528 0.287
0.759 0.972 0.731
0.194 0.690 0.004
0.686 0.190 0.996
0.661 0.471 0.689
0.782 0.971 0.311
```

=====

Entry 7:
This entry pairs a crystal structure of Tb2SmDy9 with its theoretical powder diffraction line list. Radiation: λ = 1.5418 Å (Cu Kα). Structure: DFT lattice parameters and positions (PBE).

Largest 8 diffraction maxima, by intensity, 2θ from 15° to 90°:
Position (°2θ), I/Imax
30.8, 100
35.8, 51
61.2, 43
51.5, 36
84.0, 18
86.7, 17
64.2, 12
75.7, 6

Structural model:
```
Tb2SmDy9
1.0
5.024 0.000 0.000
0.000 5.024 0.000
0.000 0.000 15.065
Tb Sm Dy
2 1 9
Direct
0.000 0.000 0.166
0.000 0.000 0.834
0.000 0.000 0.500
0.000 0.500 0.000
0.000 0.500 0.332
0.000 0.500 0.668
0.500 0.000 0.000
0.500 0.000 0.332
0.500 0.000 0.668
0.500 0.500 0.166
0.500 0.500 0.500
0.500 0.500 0.834
```

=====

Entry 8:
This entry pairs a crystal structure of Tb3SmDy5 with its theoretical powder diffraction line list. Radiation: λ = 1.5418 Å (Cu Kα). Structure: DFT lattice parameters and positions (PBE).

Largest 10 diffraction maxima, by intensity, 2θ from 15° to 90°:
Position (°2θ), I/Imax
32.4, 100
31.8, 73
31.2, 57
28.2, 39
34.5, 31
30.2, 27
37.1, 17
35.5, 16
24.0, 16
45.9, 15

Structural model:
```
Tb3SmDy5
1.0
9.074 -3.167 0.000
9.074 3.167 0.000
-4.201 0.000 10.545
Tb Sm Dy
6 2 10
Direct
0.000 0.000 0.000
0.000 0.000 0.500
0.008 0.652 0.625
0.348 0.992 0.875
0.652 0.008 0.125
0.992 0.348 0.375
0.130 0.870 0.250
0.870 0.130 0.750
0.120 0.539 0.287
0.151 0.529 0.986
0.397 0.603 0.750
0.461 0.880 0.213
0.471 0.849 0.514
0.529 0.151 0.486
0.539 0.120 0.787
0.603 0.397 0.250
0.849 0.471 0.014
0.880 0.461 0.713
```

=====

Entry 9:
This entry pairs a crystal structure of Tb3Sm5Dy4 with its theoretical powder diffraction line list. Radiation: λ = 1.5418 Å (Cu Kα). Structure: DFT lattice parameters and positions (PBE).

Largest 10 diffraction maxima, by intensity, 2θ from 15° to 90°:
Position (°2θ), I/Imax
30.6, 100
35.5, 51
51.0, 30
60.6, 29
60.7, 14
63.6, 9
83.1, 9
83.2, 9
85.7, 8
51.1, 6

Structural model:
```
Tb3Sm5Dy4
1.0
6.202 0.000 0.000
-0.015 7.162 0.000
-0.016 -0.010 8.768
Tb Sm Dy
3 5 4
Direct
0.000 0.000 0.000
0.166 0.749 0.666
0.834 0.251 0.334
0.000 0.500 0.000
0.332 0.000 0.335
0.500 0.251 0.000
0.500 0.749 0.000
0.668 0.000 0.665
0.166 0.251 0.666
0.334 0.500 0.335
0.666 0.500 0.665
0.834 0.749 0.334
```

=====

Entry 10:
This entry pairs a crystal structure of Tb12SmDy2 with its theoretical powder diffraction line list. Radiation: λ = 1.5418 Å (Cu Kα). Structure: DFT lattice parameters and positions (PBE).

Largest 10 diffraction maxima, by intensity, 2θ from 15° to 90°:
Position (°2θ), I/Imax
30.2, 100
32.0, 69
32.4, 67
31.1, 47
33.5, 36
46.0, 28
61.7, 21
32.2, 19
60.7, 19
32.3, 19

Structural model:
```
Tb12SmDy2
1.0
3.562 -5.601 0.000
3.562 5.601 0.000
-1.770 0.000 24.349
Tb Sm Dy
24 2 4
Direct
0.055 0.546 0.202
0.080 0.587 0.330
0.135 0.641 0.555
0.146 0.146 0.572
0.214 0.214 0.860
0.232 0.732 0.926
0.268 0.768 0.074
0.284 0.284 0.135
0.359 0.865 0.445
0.360 0.360 0.423
0.413 0.920 0.670
0.454 0.945 0.798
0.546 0.055 0.202
0.587 0.080 0.330
0.640 0.640 0.577
0.641 0.135 0.555
0.716 0.716 0.865
0.732 0.232 0.926
0.768 0.268 0.074
0.786 0.786 0.140
0.854 0.854 0.428
0.865 0.359 0.445
0.920 0.413 0.670
0.945 0.454 0.798
0.249 0.249 0.998
0.751 0.751 0.002
0.072 0.072 0.273
0.435 0.435 0.728
0.565 0.565 0.272
0.928 0.928 0.727
```

=====

Entry 11:
This entry pairs a crystal structure of TbSm2Dy6 with its theoretical powder diffraction line list. Radiation: λ = 1.5418 Å (Cu Kα). Structure: DFT lattice parameters and positions (PBE).

Largest 10 diffraction maxima, by intensity, 2θ from 15° to 90°:
Position (°2θ), I/Imax
30.6, 100
30.8, 99
35.7, 67
51.2, 60
35.5, 34
60.9, 28
61.2, 28
83.4, 18
60.7, 14
60.8, 14

Structural model:
```
TbSm2Dy6
1.0
6.152 0.000 0.000
-3.034 5.353 0.000
-0.013 -0.017 8.749
Tb Sm Dy
1 2 6
Direct
0.000 0.000 0.000
0.336 0.331 0.333
0.664 0.669 0.667
0.001 0.667 0.334
0.332 0.666 0.002
0.333 0.998 0.669
0.667 0.002 0.331
0.668 0.334 0.998
0.999 0.333 0.666
```

=====

Entry 12:
This entry pairs a crystal structure of Tb12Sm2Dy with its theoretical powder diffraction line list. Radiation: λ = 1.5418 Å (Cu Kα). Structure: DFT lattice parameters and positions (PBE).

Largest 10 diffraction maxima, by intensity, 2θ from 15° to 90°:
Position (°2θ), I/Imax
30.2, 100
31.8, 70
32.4, 63
31.1, 48
33.4, 38
32.2, 35
45.9, 27
61.7, 21
59.7, 19
51.4, 18

Structural model:
```
Tb12Sm2Dy
1.0
3.557 -5.624 0.000
3.557 5.624 0.000
-1.771 0.000 24.418
Tb Sm Dy
24 4 2
Direct
0.050 0.550 0.200
0.083 0.583 0.330
0.137 0.638 0.555
0.143 0.143 0.573
0.216 0.216 0.864
0.232 0.732 0.927
0.268 0.768 0.073
0.284 0.284 0.136
0.358 0.358 0.426
0.362 0.863 0.445
0.417 0.917 0.670
0.450 0.950 0.800
0.550 0.050 0.200
0.583 0.083 0.330
0.638 0.137 0.555
0.642 0.642 0.574
0.716 0.716 0.864
0.732 0.232 0.927
0.768 0.268 0.073
0.784 0.784 0.136
0.857 0.857 0.427
0.863 0.362 0.445
0.917 0.417 0.670
0.950 0.450 0.800
0.068 0.068 0.272
0.432 0.432 0.728
0.568 0.568 0.272
0.932 0.932 0.728
0.250 0.250 0.000
0.750 0.750 0.000
```